For Na13Ni11O24, a GGA+U-relaxed structure gives the computed powder diffraction line list in this record (a wavelength of 1.5418 Å).

Cell and atoms:
```
data_Na13Ni11O24
_chemical_formula_sum 'Na13 Ni11 O24'
_cell_length_a 8.1360
_cell_length_b 8.1766
_cell_length_c 9.0920
_cell_angle_alpha 106.91
_cell_angle_beta 103.08
_cell_angle_gamma 112.71
_space_group_name_H-M_alt 'P -1'
_space_group_IT_number 2
_space_group_name_Hall '-P 1'
loop_
_atom_site_label
_atom_site_fract_x
_atom_site_fract_y
_atom_site_fract_z
Na1 0.0000 0.0000 0.0000
Na2 0.0799 0.7085 0.1243
Na3 0.0855 0.2107 0.6185
Na4 0.2481 0.1255 0.3729
Na5 0.2531 0.6225 0.8717
Na6 0.4112 0.0341 0.1239
Na7 0.4134 0.5382 0.6231
Ni1 0.0000 0.5000 0.5000
Ni2 0.1642 0.4170 0.2523
Ni3 0.1722 0.9205 0.7501
Ni4 0.3330 0.8355 0.5001
Ni5 0.3372 0.3360 0.0020
Ni6 0.4941 0.7502 0.2471
O1 0.0575 0.5843 0.3334
O2 0.0954 0.7936 0.8943
O3 0.0975 0.1212 0.8287
O4 0.1092 0.3265 0.4177
O5 0.2240 0.4990 0.0813
O6 0.2345 0.0103 0.5832
O7 0.2725 0.7477 0.6660
O8 0.2875 0.2659 0.1777
O9 0.3835 0.9283 0.3352
O10 0.4083 0.4405 0.8475
O11 0.4147 0.6435 0.4138
O12 0.4382 0.1649 0.9336
```

Most intense lines, 5 to 70 degrees two-theta, sorted by position:
| 2theta | I_rel | (hkl) |
| --- | --- | --- |
| 16.75 | 1000 | 1 -1 1 |
| 33.87 | 255 | 2 -2 2 |
| 36.13 | 184 | 0 3 -1 |
| 36.64 | 339 | 3 0 -2 |
| 40.75 | 543 | 2 1 1 |
| 41.96 | 487 | -3 3 1 |
| 42.14 | 478 | 1 2 -4 |
| 58.48 | 281 | 5 -2 0 |
| 61.34 | 138 | -1 4 2 |
| 61.61 | 135 | 3 3 -3 |